[1]
This entry pairs a crystal structure of GeBrCl4 with its simulated powder diffractogram. Radiation: Cu Kα (λ = 1.5418 Å). Structure: a PBE-relaxed structure.
Kinematic intensities with the Lorentz-polarization factor, no thermal factor.

Structure:
Lattice parameters (Å, degrees): 7.4187 7.4187 10.1132 90.00 90.00 90.00
Space group I-4 (No. 82)
Asymmetric unit:
1 Ge 0.0000 0.0000 0.0000 [2 per cell]
2 Br 0.0000 0.5000 0.2500 [2 per cell]
3 Cl 0.0706 0.7754 0.8783 [8 per cell]

Most intense lines, 10° ≤ 2θ ≤ 90°, by intensity:
2θ (°)	I (rel.)	index
14.81	100.0	1 0 1
28.31	45.5	2 1 1
24.45	44.5	1 1 2
42.48	18.5	3 1 2
29.10	15.4	1 0 3
38.06	15.4	1 2 3
23.99	14.3	2 0 0
29.87	12.2	2 0 2
50.11	11.8	2 2 4
43.31	10.4	2 0 4
52.07	7.1	2 3 3
51.59	7.1	4 1 1

***

[2]
This entry pairs a crystal structure of Ge3BrCl12 with its simulated powder diffractogram. Radiation: Cu Kα (λ = 1.5418 Å). Structure: a PBE-relaxed structure.
Kinematic intensities with the Lorentz-polarization factor, no thermal factor.

Structure:
Lattice parameters (Å, degrees): 12.5090 12.5090 34.1708 90.00 90.00 120.00
Space group R3c (No. 161, hexagonal axes)
Asymmetric unit:
1 Ge 0.0207 0.3470 0.0000 [18 per cell]
2 Br 0.0000 0.0000 0.2156 [6 per cell]
3 Cl 0.0257 0.4157 0.0576 [18 per cell]
4 Cl 0.0397 0.4973 0.3189 [18 per cell]
5 Cl 0.0660 0.5297 0.1645 [18 per cell]
6 Cl 0.0777 0.2495 0.2922 [18 per cell]

Most intense lines, 10° ≤ 2θ ≤ 90°, by intensity:
2θ (°)	I (rel.)	index
16.17	100.0	1 1 3
15.56	30.1	0 0 6
24.65	23.7	3 0 0
21.10	22.2	1 1 6
14.16	21.6	1 1 0
29.29	18.3	3 0 6
26.58	11.4	2 0 8
30.23	11.3	1 2 8
29.62	10.2	2 2 3
13.20	9.5	1 0 4
45.18	9.0	4 1 9
55.37	8.2	5 2 6

***

[3]
This entry pairs a crystal structure of KGeBr2Cl with its simulated powder diffractogram. Radiation: Cu Kα (λ = 1.5418 Å). Structure: a PBE-relaxed structure.
Kinematic intensities with the Lorentz-polarization factor, no thermal factor.

Structure:
Lattice parameters (Å, degrees): 7.7534 7.7534 10.9380 90.00 90.00 90.00
Space group I4cm (No. 108)
Asymmetric unit:
1 K 0.0000 0.5000 0.0000 [4 per cell]
2 Ge 0.0000 0.0000 0.2350 [4 per cell]
3 Br 0.1908 0.3092 0.2503 [8 per cell]
4 Cl 0.0000 0.0000 0.0184 [4 per cell]

Most intense lines, 10° ≤ 2θ ≤ 90°, by intensity:
2θ (°)	I (rel.)	index
32.70	100.0	0 0 4
16.20	82.1	0 0 2
26.98	67.9	2 1 1
28.22	45.0	2 0 2
46.92	44.1	2 2 4
49.19	42.3	4 1 1
40.31	39.5	3 1 2
36.66	35.2	3 1 0
35.74	31.8	2 1 3
73.26	22.5	6 0 0
22.97	20.7	1 1 2
63.57	20.1	3 1 6